(1)
Diffraction record for TbZn2Ni6. The powder XRD pattern is calculated, not measured: it uses DFT lattice parameters and positions (PBE) and CuKα.
Neutral-atom scattering factors, no anomalous dispersion.

Top 6 peaks for 10 to 80 degrees two-theta, low angle first:
d [Å]  I/Imax
3.163  63.8
2.623  49.7
2.019  30.7
1.855  100.0
1.366  13.3
1.311  14.6

Crystal structure
Unit cell a=7.419 b=7.419 c=7.419 alpha=60.00 beta=60.00 gamma=60.00
Element x y z (fractional)
Tb: 0.125 0.125 0.125
Tb: 0.875 0.875 0.875
Zn: 0.000 0.500 0.500
Zn: 0.500 0.000 0.500
Zn: 0.500 0.500 0.000
Zn: 0.500 0.500 0.500
Ni: 0.116 0.116 0.634
Ni: 0.116 0.634 0.116
Ni: 0.116 0.634 0.634
Ni: 0.366 0.366 0.884
Ni: 0.366 0.884 0.366
Ni: 0.366 0.884 0.884
Ni: 0.634 0.116 0.116
Ni: 0.634 0.116 0.634
Ni: 0.634 0.634 0.116
Ni: 0.884 0.366 0.366
Ni: 0.884 0.366 0.884
Ni: 0.884 0.884 0.366

***

(2)
Diffraction record for Na2MgPb6. The powder XRD pattern is calculated, not measured: it uses DFT lattice parameters and positions (PBE) and CuKα.
Neutral-atom scattering factors, no anomalous dispersion.

Top 6 peaks for 10 to 80 degrees two-theta, low angle first:
d [Å]  I/Imax
6.245  52.6
3.225  50.1
2.997  100.0
2.906  77.8
2.671  64.3
2.547  46.6

Crystal structure
Unit cell a=8.619 b=8.619 c=7.418 alpha=93.99 beta=93.99 gamma=92.86
Element x y z (fractional)
Na: 0.130 0.198 0.331
Na: 0.198 0.130 0.831
Na: 0.802 0.870 0.169
Na: 0.870 0.802 0.669
Mg: 0.365 0.635 0.750
Mg: 0.635 0.365 0.250
Pb: 0.023 0.455 0.717
Pb: 0.145 0.795 0.019
Pb: 0.205 0.855 0.481
Pb: 0.301 0.465 0.092
Pb: 0.455 0.023 0.217
Pb: 0.465 0.301 0.592
Pb: 0.535 0.699 0.408
Pb: 0.545 0.977 0.783
Pb: 0.699 0.535 0.908
Pb: 0.795 0.145 0.519
Pb: 0.855 0.205 0.981
Pb: 0.977 0.545 0.283

***

(3)
Diffraction record for MgTa. The powder XRD pattern is calculated, not measured: it uses DFT lattice parameters and positions (PBE) and CuKα.
Neutral-atom scattering factors, no anomalous dispersion.

Top 6 peaks for 10 to 80 degrees two-theta, low angle first:
d [Å]  I/Imax
2.675  30.4
2.423  23.6
2.413  100.0
2.361  24.1
2.108  31.4
1.373  17.0

Crystal structure
Unit cell a=3.444 b=4.723 c=9.694 alpha=90.00 beta=90.00 gamma=90.00
Element x y z (fractional)
Mg: 0.000 0.250 0.134
Mg: 0.000 0.750 0.866
Mg: 0.500 0.250 0.866
Mg: 0.500 0.750 0.134
Ta: 0.000 0.250 0.612
Ta: 0.000 0.750 0.388
Ta: 0.500 0.250 0.388
Ta: 0.500 0.750 0.612

***

(4)
Diffraction record for Li5Hf3Se8. The powder XRD pattern is calculated, not measured: it uses DFT lattice parameters and positions (PBE) and CuKα.
Neutral-atom scattering factors, no anomalous dispersion.

Top 6 peaks for 10 to 80 degrees two-theta, low angle first:
d [Å]  I/Imax
6.424  53.6
3.259  28.4
2.726  100.0
1.947  37.1
1.909  35.2
1.564  18.4

Crystal structure
Unit cell a=7.791 b=7.791 c=7.791 alpha=58.69 beta=58.69 gamma=58.69
Element x y z (fractional)
Li: 0.000 0.000 0.000
Li: 0.000 0.500 0.500
Li: 0.500 0.000 0.500
Li: 0.500 0.500 0.000
Li: 0.500 0.500 0.500
Hf: 0.000 0.000 0.500
Hf: 0.000 0.500 0.000
Hf: 0.500 0.000 0.000
Se: 0.243 0.749 0.749
Se: 0.249 0.249 0.249
Se: 0.251 0.251 0.757
Se: 0.251 0.757 0.251
Se: 0.749 0.243 0.749
Se: 0.749 0.749 0.243
Se: 0.751 0.751 0.751
Se: 0.757 0.251 0.251

***

(5)
Diffraction record for Tb3DyZn8. The powder XRD pattern is calculated, not measured: it uses DFT lattice parameters and positions (PBE) and CuKα.
Neutral-atom scattering factors, no anomalous dispersion.

Top 6 peaks for 10 to 80 degrees two-theta, low angle first:
d [Å]  I/Imax
2.779  55.8
2.474  75.4
2.338  100.0
2.319  53.7
1.539  33.7
1.405  27.3

Crystal structure
Unit cell a=5.558 b=5.558 c=8.653 alpha=90.00 beta=90.00 gamma=120.00
Element x y z (fractional)
Tb: 0.000 0.000 0.000
Tb: 0.000 0.000 0.385
Tb: 0.333 0.667 0.885
Dy: 0.333 0.667 0.500
Zn: 0.003 0.501 0.193
Zn: 0.331 0.165 0.692
Zn: 0.499 0.501 0.193
Zn: 0.499 0.997 0.193
Zn: 0.667 0.333 0.442
Zn: 0.667 0.333 0.943
Zn: 0.835 0.165 0.692
Zn: 0.835 0.669 0.692

***

(6)
Diffraction record for Ce3OsPb. The powder XRD pattern is calculated, not measured: it uses DFT lattice parameters and positions (PBE) and CuKα.
Neutral-atom scattering factors, no anomalous dispersion.

Top 6 peaks for 10 to 80 degrees two-theta, low angle first:
d [Å]  I/Imax
2.907  65.1
2.812  65.3
2.799  63.7
2.683  100.0
2.554  62.4
2.506  70.5

Crystal structure
Unit cell a=8.607 b=8.778 c=7.858 alpha=90.00 beta=111.20 gamma=90.00
Element x y z (fractional)
Ce: 0.005 0.054 0.330
Ce: 0.005 0.446 0.830
Ce: 0.258 0.112 0.079
Ce: 0.258 0.388 0.579
Ce: 0.338 0.720 0.933
Ce: 0.338 0.780 0.433
Ce: 0.662 0.220 0.567
Ce: 0.662 0.280 0.067
Ce: 0.742 0.612 0.421
Ce: 0.742 0.888 0.921
Ce: 0.995 0.554 0.170
Ce: 0.995 0.946 0.670
Os: 0.088 0.656 0.560
Os: 0.088 0.844 0.060
Os: 0.912 0.156 0.940
Os: 0.912 0.344 0.440
Pb: 0.378 0.053 0.726
Pb: 0.378 0.447 0.226
Pb: 0.622 0.553 0.774
Pb: 0.622 0.947 0.274

***

(7)
Diffraction record for Ho2SbRh. The powder XRD pattern is calculated, not measured: it uses DFT lattice parameters and positions (PBE) and CuKα.
Neutral-atom scattering factors, no anomalous dispersion.

Top 6 peaks for 10 to 80 degrees two-theta, low angle first:
d [Å]  I/Imax
2.874  80.9
2.817  100.0
2.800  54.3
2.359  51.8
2.265  44.4
2.145  45.0

Crystal structure
Unit cell a=6.071 b=4.291 c=8.024 alpha=90.00 beta=111.53 gamma=90.00
Element x y z (fractional)
Ho: 0.168 0.250 0.402
Ho: 0.250 0.750 0.051
Ho: 0.750 0.250 0.949
Ho: 0.832 0.750 0.598
Sb: 0.391 0.750 0.709
Sb: 0.609 0.250 0.291
Rh: 0.129 0.250 0.790
Rh: 0.871 0.750 0.210

***

(8)
Diffraction record for Na8B11C5. The powder XRD pattern is calculated, not measured: it uses DFT lattice parameters and positions (PBE) and CuKα.
Neutral-atom scattering factors, no anomalous dispersion.

Top 6 peaks for 10 to 80 degrees two-theta, low angle first:
d [Å]  I/Imax
2.501  18.4
2.158  100.0
2.135  24.7
1.444  17.5
1.237  11.9
1.200  11.2

Crystal structure
Unit cell a=2.888 b=2.888 c=34.164 alpha=90.00 beta=90.00 gamma=120.00
Element x y z (fractional)
Na: 0.000 0.000 0.000
Na: 0.000 0.000 0.123
Na: 0.000 0.000 0.247
Na: 0.000 0.000 0.374
Na: 0.000 0.000 0.502
Na: 0.000 0.000 0.625
Na: 0.000 0.000 0.749
Na: 0.000 0.000 0.876
B: 0.333 0.667 0.185
B: 0.333 0.667 0.310
B: 0.333 0.667 0.438
B: 0.333 0.667 0.687
B: 0.333 0.667 0.813
B: 0.333 0.667 0.939
B: 0.667 0.333 0.062
B: 0.667 0.333 0.310
B: 0.667 0.333 0.438
B: 0.667 0.333 0.564
B: 0.667 0.333 0.813
C: 0.333 0.667 0.062
C: 0.333 0.667 0.564
C: 0.667 0.333 0.184
C: 0.667 0.333 0.687
C: 0.667 0.333 0.939